# 1
For ThAl2Co4Si, a PBE-relaxed structure gives the computed X-ray diffraction stick pattern in this record (Cu Ka).
Lines closer than 0.1° are merged.

Top 12 peaks for 15° ≤ 2θ ≤ 90°, in order of falling intensity:
2θ (°), I/Imax
45.64, 100
39.19, 81
36.46, 76
31.68, 73
26.88, 72
26.13, 45
45.18, 22
61.69, 21
80.02, 20
74.88, 19
65.25, 18
59.77, 18

Structure:
Lattice parameters (Å, degrees): 3.9755 3.9755 24.7017 90.00 90.00 120.00
Space group R-3m (No. 166, hexagonal axes)
Unique sites:
Th 0.0000 0.0000 0.0000 x3
Al 0.0000 0.0000 0.2360 x6
Co 0.0000 0.0000 0.1356 x6
Co 0.0000 0.0000 0.4062 x6
Si 0.0000 0.0000 0.5000 x3

=====

# 2
For Y2AlCo6Si, a PBE-relaxed structure gives the computed X-ray diffraction stick pattern in this record (Cu Ka).
Lines closer than 0.1° are merged.

Top 12 peaks for 15° ≤ 2θ ≤ 90°, in order of falling intensity:
2θ (°), I/Imax
36.34, 100
42.21, 72
61.21, 37
73.33, 33
29.50, 14
77.15, 11
61.29, 7
52.34, 5
77.24, 4
69.41, 2
84.65, 1
84.75, 1

Structure:
Lattice parameters (Å, degrees): 10.483 6.061 6.050 90.00 125.23 90.00
Space group C2/m (No. 12)
Unique sites:
Y 0.250 0.000 0.250 x4
Al 0.000 0.000 0.500 x2
Co 0.000 0.255 0.245 x8
Co 0.245 0.500 0.245 x4
Si 0.000 0.500 0.000 x2

=====

# 3
For SmAl2Co9, a PBE-relaxed structure gives the computed X-ray diffraction stick pattern in this record (Cu Ka).
Lines closer than 0.1° are merged.

Top 12 peaks for 15° ≤ 2θ ≤ 90°, in order of falling intensity:
2θ (°), I/Imax
40.12, 100
46.00, 52
46.27, 46
44.53, 41
36.77, 37
50.43, 35
24.49, 29
44.76, 25
86.62, 18
35.08, 18
87.82, 18
31.25, 17

Structure:
Lattice parameters (Å, degrees): 8.089 8.089 4.708 90.00 90.00 90.00
Space group P4/mbm (No. 127)
Unique sites:
Sm 0.000 0.000 0.000 x2
Al 0.121 0.379 0.000 x4
Co 0.000 0.500 0.500 x2
Co 0.069 0.212 0.500 x8
Co 0.176 0.676 0.236 x8

=====

# 4
For SmAl3Co, a PBE-relaxed structure gives the computed X-ray diffraction stick pattern in this record (Cu Ka).
Lines closer than 0.1° are merged.

Top 12 peaks for 15° ≤ 2θ ≤ 90°, in order of falling intensity:
2θ (°), I/Imax
35.08, 100
25.78, 57
35.20, 56
16.48, 37
30.88, 30
44.51, 28
33.69, 27
40.51, 25
27.27, 22
40.03, 19
52.64, 19
41.42, 18

Structure:
Lattice parameters (Å, degrees): 8.237 4.071 10.759 90.00 90.00 90.00
Space group Pnma (No. 62)
Unique sites:
Sm 0.189 0.250 0.010 x4
Al 0.050 0.250 0.581 x4
Al 0.113 0.750 0.778 x4
Al 0.147 0.750 0.226 x4
Co 0.114 0.250 0.356 x4